1.
Computed powder X-ray diffraction pattern
Compound: CuPd2F6
Radiation: Cu Kα
Structure: a structure optimized by DFT (GGA-PBE)

Structural model:
Cell: 7.2105 7.2105 5.9884 Å, 108.05 108.05 78.56°
Fractional coordinates of all 18 atoms:
Cu  0.0002  0.9998  0.2500
Cu  0.9998  0.0002  0.7500
Pd  0.1838  0.3429  0.7053
Pd  0.3429  0.1838  0.2053
Pd  0.6571  0.8162  0.7947
Pd  0.8162  0.6571  0.2947
F  0.0141  0.7160  0.1595
F  0.0162  0.7159  0.6232
F  0.2841  0.9838  0.8768
F  0.2840  0.9859  0.3405
F  0.3751  0.3771  0.5387
F  0.3771  0.3751  0.0387
F  0.6229  0.6249  0.9613
F  0.6249  0.6229  0.4613
F  0.7160  0.0141  0.6595
F  0.7159  0.0162  0.1232
F  0.9838  0.2841  0.3768
F  0.9859  0.2840  0.8405

The 10 most intense peaks (15° ≤ 2θ ≤ 90°), sorted by position:
| d [Å] | two_theta | I_rel |
| --- | --- | --- |
| 5.115 | 17.3 | 76 |
| 4.565 | 19.4 | 100 |
| 3.510 | 25.4 | 84 |
| 3.317 | 26.9 | 65 |
| 2.744 | 32.6 | 36 |
| 2.624 | 34.2 | 41 |
| 2.600 | 34.5 | 35 |
| 2.338 | 38.5 | 23 |
| 1.852 | 49.2 | 29 |
| 1.477 | 62.9 | 24 |

---

2.
Computed powder X-ray diffraction pattern
Compound: Cu3PdF8
Radiation: Cu Kα
Structure: a structure optimized by DFT (GGA-PBE)

Structural model:
Cell: 5.2795 5.2795 6.4979 Å, 90.00 90.00 120.00°
Fractional coordinates of all 12 atoms:
Cu  0.0000  0.0000  0.0000
Cu  0.3333  0.6667  0.0000
Cu  0.6667  0.3333  0.0000
Pd  0.0000  0.0000  0.5000
F  0.0000  0.3266  0.1574
F  0.0000  0.6734  0.8426
F  0.3266  0.0000  0.1574
F  0.3266  0.3266  0.8426
F  0.3333  0.6667  0.5000
F  0.6667  0.3333  0.5000
F  0.6734  0.0000  0.8426
F  0.6734  0.6734  0.1574

The 10 most intense peaks (15° ≤ 2θ ≤ 90°), sorted by position:
| d [Å] | two_theta | I_rel |
| --- | --- | --- |
| 4.572 | 19.4 | 24 |
| 3.739 | 23.8 | 27 |
| 3.249 | 27.5 | 40 |
| 2.648 | 33.8 | 11 |
| 2.640 | 34.0 | 63 |
| 2.049 | 44.2 | 100 |
| 1.524 | 60.8 | 29 |
| 1.383 | 67.7 | 26 |
| 1.380 | 67.9 | 17 |
| 1.223 | 78.2 | 16 |

---

3.
Computed powder X-ray diffraction pattern
Compound: CuPd3F9
Radiation: Cu Kα
Structure: a structure optimized by DFT (GGA-PBE)

Structural model:
Cell: 6.4946 6.4946 10.5270 Å, 100.41 100.41 70.16°
Fractional coordinates of all 26 atoms:
Cu  0.0084  0.9916  0.5000
Cu  0.9916  0.0084  0.0000
Pd  0.0698  0.5465  0.6831
Pd  0.3343  0.6599  0.2557
Pd  0.3451  0.9338  0.8250
Pd  0.5465  0.0698  0.1831
Pd  0.6599  0.3343  0.7557
Pd  0.9338  0.3451  0.3250
F  0.0147  0.3418  0.5249
F  0.0826  0.7831  0.1139
F  0.0999  0.5554  0.3259
F  0.1092  0.7772  0.8395
F  0.2150  0.9383  0.3762
F  0.2575  0.9091  0.6321
F  0.3418  0.0147  0.0249
F  0.3777  0.4607  0.6372
F  0.4607  0.3777  0.1372
F  0.5426  0.5713  0.8914
F  0.5554  0.0999  0.8259
F  0.5713  0.5426  0.3914
F  0.5977  0.7650  0.2113
F  0.7650  0.5977  0.7113
F  0.7772  0.1092  0.3395
F  0.7831  0.0826  0.6139
F  0.9091  0.2575  0.1321
F  0.9383  0.2150  0.8762

The 10 most intense peaks (15° ≤ 2θ ≤ 90°), sorted by position:
| d [Å] | two_theta | I_rel |
| --- | --- | --- |
| 5.540 | 16.0 | 37 |
| 5.134 | 17.3 | 73 |
| 4.192 | 21.2 | 34 |
| 3.733 | 23.8 | 34 |
| 3.508 | 25.4 | 35 |
| 3.183 | 28.0 | 100 |
| 3.018 | 29.6 | 74 |
| 2.844 | 31.5 | 37 |
| 2.828 | 31.6 | 46 |
| 1.873 | 48.6 | 33 |

---

4.
Computed powder X-ray diffraction pattern
Compound: CuPdF5
Radiation: Cu Kα
Structure: a structure optimized by DFT (GGA-PBE)

Structural model:
Cell: 5.5816 5.5816 7.2146 Å, 90.82 90.82 120.31°
Fractional coordinates of all 14 atoms:
Cu  0.0000  0.0000  0.0000
Cu  0.0000  0.0000  0.5000
Pd  0.3736  0.6264  0.7500
Pd  0.6264  0.3736  0.2500
F  0.0512  0.3403  0.6051
F  0.0907  0.9093  0.7500
F  0.1928  0.4174  0.9739
F  0.3403  0.0512  0.1051
F  0.4174  0.1928  0.4739
F  0.5826  0.8072  0.5261
F  0.6597  0.9488  0.8949
F  0.8072  0.5826  0.0261
F  0.9093  0.0907  0.2500
F  0.9488  0.6597  0.3949

The 10 most intense peaks (15° ≤ 2θ ≤ 90°), sorted by position:
| d [Å] | two_theta | I_rel |
| --- | --- | --- |
| 4.841 | 18.3 | 29 |
| 4.053 | 21.9 | 48 |
| 4.020 | 22.1 | 100 |
| 3.960 | 22.5 | 46 |
| 2.922 | 30.6 | 54 |
| 2.853 | 31.4 | 32 |
| 2.790 | 32.1 | 52 |
| 2.172 | 41.6 | 30 |
| 1.641 | 56.0 | 29 |
| 1.616 | 57.0 | 30 |

---

5.
Computed powder X-ray diffraction pattern
Compound: CuPd2F6
Radiation: Cu Kα
Structure: a structure optimized by DFT (GGA-PBE)

Structural model:
Cell: 4.9067 4.9067 10.0683 Å, 90.00 90.00 90.00°
Fractional coordinates of all 18 atoms:
Cu  0.0000  0.0000  0.0000
Cu  0.5000  0.5000  0.5000
Pd  0.0000  0.0000  0.3337
Pd  0.0000  0.0000  0.6663
Pd  0.5000  0.5000  0.1663
Pd  0.5000  0.5000  0.8337
F  0.1924  0.1924  0.1587
F  0.1924  0.1924  0.8413
F  0.2093  0.2093  0.5000
F  0.2907  0.7093  0.0000
F  0.3076  0.6924  0.3413
F  0.3076  0.6924  0.6587
F  0.6924  0.3076  0.3413
F  0.6924  0.3076  0.6587
F  0.7093  0.2907  0.0000
F  0.7907  0.7907  0.5000
F  0.8076  0.8076  0.1587
F  0.8076  0.8076  0.8413

The 10 most intense peaks (15° ≤ 2θ ≤ 90°), sorted by position:
| d [Å] | two_theta | I_rel |
| --- | --- | --- |
| 3.470 | 25.7 | 100 |
| 2.770 | 32.3 | 75 |
| 2.453 | 36.6 | 16 |
| 1.837 | 49.6 | 70 |
| 1.735 | 52.8 | 18 |
| 1.552 | 59.6 | 14 |
| 1.511 | 61.4 | 16 |
| 1.470 | 63.2 | 22 |
| 1.261 | 75.4 | 10 |
| 1.122 | 86.8 | 11 |

---

6.
Computed powder X-ray diffraction pattern
Compound: RbCuPdF5
Radiation: Cu Kα
Structure: a structure optimized by DFT (GGA-PBE)

Structural model:
Cell: 6.1244 7.5507 11.0725 Å, 90.00 90.00 90.00°
Fractional coordinates of all 32 atoms:
Rb  0.0018  0.2500  0.0949
Rb  0.4982  0.7500  0.5949
Rb  0.5018  0.2500  0.4051
Rb  0.9982  0.7500  0.9051
Cu  0.0000  0.0000  0.5000
Cu  0.0000  0.5000  0.5000
Cu  0.5000  0.0000  0.0000
Cu  0.5000  0.5000  0.0000
Pd  0.2401  0.2500  0.7488
Pd  0.2599  0.7500  0.2488
Pd  0.7401  0.2500  0.7512
Pd  0.7599  0.7500  0.2512
F  0.0001  0.2500  0.4394
F  0.9999  0.7500  0.5606
F  0.2384  0.0618  0.6206
F  0.2384  0.4382  0.6206
F  0.2463  0.0642  0.8771
F  0.2463  0.4358  0.8771
F  0.2537  0.5642  0.3771
F  0.2537  0.9358  0.3771
F  0.2616  0.5618  0.1206
F  0.2616  0.9382  0.1206
F  0.5001  0.2500  0.0606
F  0.4999  0.7500  0.9394
F  0.7384  0.0618  0.8794
F  0.7384  0.4382  0.8794
F  0.7463  0.0642  0.6229
F  0.7463  0.4358  0.6229
F  0.7537  0.5642  0.1229
F  0.7537  0.9358  0.1229
F  0.7616  0.5618  0.3794
F  0.7616  0.9382  0.3794

The 10 most intense peaks (15° ≤ 2θ ≤ 90°), sorted by position:
| d [Å] | two_theta | I_rel |
| --- | --- | --- |
| 3.608 | 24.7 | 27 |
| 3.316 | 26.9 | 86 |
| 3.119 | 28.6 | 37 |
| 3.086 | 28.9 | 61 |
| 2.749 | 32.6 | 100 |
| 2.680 | 33.4 | 66 |
| 2.080 | 43.5 | 58 |
| 1.804 | 50.6 | 68 |
| 1.658 | 55.4 | 21 |
| 1.543 | 59.9 | 23 |

---

7.
Computed powder X-ray diffraction pattern
Compound: TlCuPd2F8
Radiation: Cu Kα
Structure: a structure optimized by DFT (GGA-PBE)

Structural model:
Cell: 4.4180 4.9034 8.3109 Å, 87.75 89.71 88.96°
Fractional coordinates of all 12 atoms:
Tl  0.0000  0.0000  0.0000
Cu  0.0000  0.0000  0.5000
Pd  0.4398  0.5013  0.2758
Pd  0.5602  0.4987  0.7242
F  0.1013  0.7704  0.3194
F  0.2076  0.7424  0.7602
F  0.3324  0.2493  0.4637
F  0.4697  0.2547  0.9121
F  0.5303  0.7453  0.0879
F  0.6676  0.7507  0.5363
F  0.7924  0.2576  0.2398
F  0.8987  0.2296  0.6806

The 10 most intense peaks (15° ≤ 2θ ≤ 90°), sorted by position:
| d [Å] | two_theta | I_rel |
| --- | --- | --- |
| 3.894 | 22.8 | 27 |
| 3.310 | 26.9 | 100 |
| 3.252 | 27.4 | 80 |
| 3.231 | 27.6 | 92 |
| 3.108 | 28.7 | 84 |
| 3.032 | 29.5 | 69 |
| 3.019 | 29.6 | 33 |
| 2.076 | 43.6 | 35 |
| 1.945 | 46.7 | 26 |
| 1.869 | 48.7 | 25 |

---

8.
Computed powder X-ray diffraction pattern
Compound: PmCu4F12
Radiation: Cu Kα
Structure: a structure optimized by DFT (GGA-PBE)

Structural model:
Cell: 6.7113 6.7113 6.7113 Å, 109.44 109.44 109.44°
Fractional coordinates of all 17 atoms:
Pm  0.0000  0.0000  0.0000
Cu  0.0000  0.0000  0.5000
Cu  0.0000  0.5000  0.0000
Cu  0.5000  0.0000  0.0000
Cu  0.5000  0.5000  0.5000
F  0.0644  0.8025  0.2602
F  0.1975  0.7398  0.9356
F  0.1983  0.2608  0.4592
F  0.2602  0.0644  0.8025
F  0.2608  0.4592  0.1983
F  0.4592  0.1983  0.2608
F  0.5408  0.8017  0.7392
F  0.7392  0.5408  0.8017
F  0.7398  0.9356  0.1975
F  0.8017  0.7392  0.5408
F  0.8025  0.2602  0.0644
F  0.9356  0.1975  0.7398

The 10 most intense peaks (15° ≤ 2θ ≤ 90°), sorted by position:
| d [Å] | two_theta | I_rel |
| --- | --- | --- |
| 5.482 | 16.2 | 100 |
| 3.876 | 22.9 | 31 |
| 3.165 | 28.2 | 29 |
| 2.741 | 32.7 | 77 |
| 2.452 | 36.7 | 21 |
| 2.072 | 43.7 | 35 |
| 1.938 | 46.9 | 40 |
| 1.582 | 58.3 | 39 |
| 1.520 | 60.9 | 15 |
| 1.370 | 68.5 | 19 |

---

9.
Computed powder X-ray diffraction pattern
Compound: Rb2Cu3F8
Radiation: Cu Kα
Structure: a structure optimized by DFT (GGA-PBE)

Structural model:
Cell: 3.9483 3.9483 12.1873 Å, 90.00 90.00 90.00°
Fractional coordinates of all 13 atoms:
Rb  0.0000  0.0000  0.1860
Rb  0.0000  0.0000  0.8140
Cu  0.5000  0.5000  0.0000
Cu  0.5000  0.5000  0.3684
Cu  0.5000  0.5000  0.6316
F  0.0000  0.5000  0.0000
F  0.0000  0.5000  0.3654
F  0.0000  0.5000  0.6346
F  0.5000  0.0000  0.0000
F  0.5000  0.0000  0.3654
F  0.5000  0.0000  0.6346
F  0.5000  0.5000  0.1637
F  0.5000  0.5000  0.8363

The 10 most intense peaks (15° ≤ 2θ ≤ 90°), sorted by position:
| d [Å] | two_theta | I_rel |
| --- | --- | --- |
| 3.314 | 26.9 | 43 |
| 2.831 | 31.6 | 100 |
| 2.792 | 32.1 | 48 |
| 2.437 | 36.9 | 28 |
| 1.974 | 46.0 | 53 |
| 1.836 | 49.7 | 18 |
| 1.619 | 56.9 | 37 |
| 1.534 | 60.3 | 24 |
| 1.421 | 65.7 | 16 |
| 1.153 | 83.9 | 16 |

---

10.
Computed powder X-ray diffraction pattern
Compound: Rb3CuF7
Radiation: Cu Kα
Structure: a structure optimized by DFT (GGA-PBE)

Structural model:
Cell: 8.0802 8.0802 6.0378 Å, 90.00 90.00 90.00°
Fractional coordinates of all 22 atoms:
Rb  0.0000  0.0000  0.0000
Rb  0.1846  0.3154  0.5000
Rb  0.3154  0.8154  0.5000
Rb  0.5000  0.5000  0.0000
Rb  0.6846  0.1846  0.5000
Rb  0.8154  0.6846  0.5000
Cu  0.0000  0.5000  0.0000
Cu  0.5000  0.0000  0.0000
F  0.0000  0.0000  0.5000
F  0.1156  0.6156  0.2254
F  0.1156  0.6156  0.7746
F  0.1596  0.3404  0.0000
F  0.3404  0.8404  0.0000
F  0.3844  0.1156  0.2254
F  0.3844  0.1156  0.7746
F  0.5000  0.5000  0.5000
F  0.6156  0.8844  0.2254
F  0.6156  0.8844  0.7746
F  0.6596  0.1596  0.0000
F  0.8404  0.6596  0.0000
F  0.8844  0.3844  0.2254
F  0.8844  0.3844  0.7746

The 10 most intense peaks (15° ≤ 2θ ≤ 90°), sorted by position:
| d [Å] | two_theta | I_rel |
| --- | --- | --- |
| 3.614 | 24.6 | 19 |
| 3.358 | 26.5 | 100 |
| 3.101 | 28.8 | 25 |
| 3.019 | 29.6 | 33 |
| 2.857 | 31.3 | 40 |
| 2.555 | 35.1 | 21 |
| 2.317 | 38.9 | 48 |
| 2.075 | 43.6 | 31 |
| 1.960 | 46.3 | 14 |
| 1.801 | 50.7 | 16 |

---

11.
Computed powder X-ray diffraction pattern
Compound: RbCu3F8
Radiation: Cu Kα
Structure: a structure optimized by DFT (GGA-PBE)

Structural model:
Cell: 5.3655 5.3655 7.6773 Å, 90.00 90.00 120.00°
Fractional coordinates of all 12 atoms:
Rb  0.0000  0.0000  0.0000
Cu  0.0000  0.0000  0.5000
Cu  0.3333  0.6667  0.6935
Cu  0.6667  0.3333  0.3065
F  0.0004  0.2986  0.3524
F  0.9996  0.7014  0.6476
F  0.2982  0.9996  0.3524
F  0.2986  0.2982  0.6476
F  0.3333  0.6667  0.9315
F  0.6667  0.3333  0.0685
F  0.7014  0.7018  0.3524
F  0.7018  0.0004  0.6476

The 10 most intense peaks (15° ≤ 2θ ≤ 90°), sorted by position:
| d [Å] | two_theta | I_rel |
| --- | --- | --- |
| 4.647 | 19.1 | 27 |
| 3.975 | 22.4 | 90 |
| 2.959 | 30.2 | 100 |
| 2.683 | 33.4 | 75 |
| 2.559 | 35.1 | 19 |
| 2.224 | 40.6 | 20 |
| 1.988 | 45.6 | 35 |
| 1.774 | 51.5 | 22 |
| 1.597 | 57.7 | 34 |
| 1.549 | 59.7 | 29 |